No. 1
Starting from a DFT-relaxed cell (GGA-PBE, Alexandria), the powder X-ray diffraction pattern of Tb2Pm3HoBi6 was simulated for CuKα.

Principal peaks in the range 10° ≤ 2θ ≤ 90°, sorted by position:
| d (Å) | I (rel.) |
| --- | --- |
| 3.699 | 3.9 |
| 3.203 | 100.0 |
| 2.265 | 78.3 |
| 1.850 | 28.5 |
| 1.602 | 13.5 |
| 1.433 | 37.4 |
| 1.308 | 20.9 |
| 1.307 | 6.8 |
| 1.133 | 6.1 |
| 1.132 | 3.0 |

Structural model:
```
Tb2Pm3HoBi6
1.0
9.869 -2.266 0.000
9.869 2.266 0.000
-2.063 0.000 8.820
Tb Pm Ho Bi
2 3 1 6
direct
0.166 0.166 0.333
0.834 0.834 0.667
0.167 0.167 0.833
0.500 0.500 0.500
0.833 0.833 0.167
0.500 0.500 0.000
0.001 0.001 0.245
0.332 0.332 0.420
0.335 0.335 0.914
0.665 0.665 0.086
0.668 0.668 0.580
0.999 0.999 0.755
```


No. 2
Starting from a DFT-relaxed cell (GGA-PBE, Alexandria), the powder X-ray diffraction pattern of PrHo4Bi5 was simulated for CuKα.

Principal peaks in the range 10° ≤ 2θ ≤ 90°, sorted by position:
| d (Å) | I (rel.) |
| --- | --- |
| 3.673 | 3.0 |
| 3.181 | 100.0 |
| 2.249 | 78.0 |
| 1.918 | 1.8 |
| 1.836 | 28.3 |
| 1.590 | 13.4 |
| 1.459 | 0.8 |
| 1.422 | 36.9 |
| 1.298 | 27.4 |
| 1.125 | 9.0 |

Structural model:
```
PrHo4Bi5
1.0
-2.249 3.183 11.239
2.249 -3.183 11.239
2.249 3.183 -11.239
Pr Ho Bi
1 4 5
direct
0.000 0.000 0.000
0.202 0.202 0.000
0.400 0.400 0.000
0.600 0.600 0.000
0.798 0.798 0.000
0.104 0.604 0.500
0.301 0.801 0.500
0.500 0.000 0.500
0.699 0.199 0.500
0.896 0.396 0.500
```


No. 3
Starting from a DFT-relaxed cell (GGA-PBE, Alexandria), the powder X-ray diffraction pattern of PrHo8Bi6 was simulated for CuKα.

Principal peaks in the range 10° ≤ 2θ ≤ 90°, sorted by position:
| d (Å) | I (rel.) |
| --- | --- |
| 3.840 | 10.8 |
| 3.575 | 21.0 |
| 3.022 | 100.0 |
| 2.487 | 23.5 |
| 2.217 | 44.9 |
| 2.064 | 24.0 |
| 1.788 | 22.0 |
| 1.468 | 15.8 |
| 1.392 | 19.1 |
| 1.314 | 13.0 |

Structural model:
```
PrHo8Bi6
1.0
3.840 2.217 9.791
-3.840 2.217 9.791
0.000 -4.434 9.791
Pr Ho Bi
1 8 6
direct
0.000 0.000 0.000
0.126 0.796 0.444
0.204 0.556 0.874
0.334 0.334 0.334
0.444 0.126 0.796
0.556 0.874 0.204
0.666 0.666 0.666
0.796 0.444 0.126
0.874 0.204 0.556
0.062 0.408 0.722
0.278 0.938 0.592
0.408 0.722 0.062
0.592 0.278 0.938
0.722 0.062 0.408
0.938 0.592 0.277
```


No. 4
Starting from a DFT-relaxed cell (GGA-PBE, Alexandria), the powder X-ray diffraction pattern of Pr3Ho5Bi8 was simulated for CuKα.

Principal peaks in the range 10° ≤ 2θ ≤ 90°, sorted by position:
| d (Å) | I (rel.) |
| --- | --- |
| 3.699 | 3.6 |
| 3.204 | 100.0 |
| 2.265 | 78.1 |
| 1.932 | 2.0 |
| 1.850 | 28.3 |
| 1.602 | 13.4 |
| 1.470 | 0.9 |
| 1.433 | 37.0 |
| 1.308 | 27.4 |
| 1.133 | 9.0 |

Structural model:
```
Pr3Ho5Bi8
1.0
4.532 2.617 7.393
-4.532 2.617 7.393
0.000 -5.234 7.393
Pr Ho Bi
3 5 8
direct
0.000 0.500 0.500
0.500 0.000 0.500
0.500 0.500 0.000
0.000 0.000 0.000
0.000 0.000 0.500
0.000 0.500 0.000
0.500 0.000 0.000
0.500 0.500 0.500
0.242 0.750 0.750
0.246 0.246 0.246
0.250 0.250 0.758
0.250 0.758 0.250
0.750 0.242 0.750
0.750 0.750 0.242
0.754 0.754 0.754
0.758 0.250 0.250
```


No. 5
Starting from a DFT-relaxed cell (GGA-PBE, Alexandria), the powder X-ray diffraction pattern of Pr3HoBi4 was simulated for CuKα.

Principal peaks in the range 10° ≤ 2θ ≤ 90°, sorted by position:
| d (Å) | I (rel.) |
| --- | --- |
| 3.754 | 5.0 |
| 3.251 | 100.0 |
| 2.299 | 78.8 |
| 1.960 | 3.0 |
| 1.877 | 28.8 |
| 1.626 | 13.7 |
| 1.492 | 1.3 |
| 1.454 | 38.0 |
| 1.327 | 28.2 |
| 1.149 | 9.2 |

Structural model:
```
Pr3HoBi4
1.0
6.502 0.000 0.000
0.000 6.502 0.000
0.000 0.000 6.502
Pr Ho Bi
3 1 4
direct
0.000 0.000 0.500
0.000 0.500 0.000
0.500 0.000 0.000
0.500 0.500 0.500
0.000 0.000 0.000
0.000 0.500 0.500
0.500 0.000 0.500
0.500 0.500 0.000
```


No. 6
Starting from a DFT-relaxed cell (GGA-PBE, Alexandria), the powder X-ray diffraction pattern of Ho3BiPt was simulated for CuKα.

Principal peaks in the range 10° ≤ 2θ ≤ 90°, sorted by position:
| d (Å) | I (rel.) |
| --- | --- |
| 4.132 | 17.2 |
| 3.093 | 51.8 |
| 2.996 | 57.4 |
| 2.654 | 100.0 |
| 2.599 | 57.6 |
| 2.273 | 20.9 |
| 1.924 | 18.2 |
| 1.857 | 70.9 |
| 1.577 | 17.4 |
| 1.546 | 19.5 |

Structural model:
```
Ho3BiPt
1.0
3.849 -7.331 0.000
3.849 7.331 0.000
0.000 0.000 5.198
Ho Bi Pt
6 2 2
direct
0.000 0.500 0.500
0.134 0.866 0.000
0.301 0.301 0.500
0.500 0.000 0.500
0.699 0.699 0.500
0.866 0.134 0.000
0.360 0.640 0.000
0.640 0.360 0.000
0.101 0.899 0.500
0.899 0.101 0.500
```


No. 7
Starting from a DFT-relaxed cell (GGA-PBE, Alexandria), the powder X-ray diffraction pattern of Rb2Ho2BiS6 was simulated for CuKα.

Principal peaks in the range 10° ≤ 2θ ≤ 90°, sorted by position:
| d (Å) | I (rel.) |
| --- | --- |
| 7.935 | 100.0 |
| 3.968 | 33.3 |
| 3.437 | 24.9 |
| 3.334 | 54.2 |
| 3.004 | 84.8 |
| 2.992 | 42.0 |
| 2.433 | 16.1 |
| 2.260 | 49.0 |
| 2.004 | 27.6 |
| 1.667 | 22.1 |

Structural model:
```
Rb2Ho2BiS6
1.0
3.468 -6.024 0.000
3.468 6.024 0.000
-2.283 0.000 7.935
Rb Ho Bi S
2 2 1 6
direct
0.166 0.834 0.000
0.834 0.166 0.000
0.333 0.667 0.500
0.667 0.333 0.500
0.000 0.000 0.500
0.061 0.399 0.689
0.273 0.273 0.311
0.399 0.061 0.689
0.601 0.939 0.311
0.727 0.727 0.689
0.939 0.601 0.311
```


No. 8
Starting from a DFT-relaxed cell (GGA-PBE, Alexandria), the powder X-ray diffraction pattern of Ho4BiRh2 was simulated for CuKα.

Principal peaks in the range 10° ≤ 2θ ≤ 90°, sorted by position:
| d (Å) | I (rel.) |
| --- | --- |
| 3.266 | 14.9 |
| 3.077 | 19.3 |
| 2.790 | 43.3 |
| 2.774 | 35.9 |
| 2.735 | 36.3 |
| 2.723 | 100.0 |
| 2.570 | 28.3 |
| 2.495 | 46.8 |
| 2.217 | 27.0 |
| 2.029 | 15.4 |

Structural model:
```
Ho4BiRh2
1.0
4.302 -7.437 0.000
4.302 7.437 0.000
-4.237 0.000 5.478
Ho Bi Rh
8 2 4
direct
0.005 0.995 0.500
0.025 0.440 0.289
0.302 0.865 0.165
0.428 0.590 0.846
0.440 0.025 0.789
0.590 0.428 0.346
0.865 0.302 0.665
0.995 0.005 0.000
0.552 0.782 0.495
0.782 0.552 0.995
0.043 0.709 0.684
0.213 0.374 0.008
0.374 0.213 0.508
0.709 0.043 0.184
```


No. 9
Starting from a DFT-relaxed cell (GGA-PBE, Alexandria), the powder X-ray diffraction pattern of Ho4Bi2S9 was simulated for CuKα.

Principal peaks in the range 10° ≤ 2θ ≤ 90°, sorted by position:
| d (Å) | I (rel.) |
| --- | --- |
| 5.059 | 38.5 |
| 3.681 | 95.3 |
| 3.482 | 100.0 |
| 2.529 | 45.3 |
| 2.314 | 77.9 |
| 2.046 | 45.7 |
| 2.010 | 45.5 |
| 1.776 | 23.9 |
| 1.518 | 20.2 |
| 1.440 | 20.0 |

Structural model:
```
Ho4Bi2S9
1.0
6.964 0.000 0.000
-3.482 6.031 0.000
0.000 0.000 18.584
Ho Bi S
8 4 18
direct
0.333 0.667 0.183
0.333 0.667 0.484
0.333 0.667 0.683
0.333 0.667 0.984
0.667 0.333 0.016
0.667 0.333 0.317
0.667 0.333 0.516
0.667 0.333 0.817
0.000 0.000 0.148
0.000 0.000 0.352
0.000 0.000 0.648
0.000 0.000 0.852
0.000 0.309 0.250
0.000 0.691 0.750
0.030 0.378 0.584
0.030 0.652 0.084
0.309 0.000 0.250
0.309 0.309 0.750
0.348 0.378 0.084
0.348 0.970 0.584
0.378 0.030 0.916
0.378 0.348 0.416
0.622 0.652 0.584
0.622 0.970 0.084
0.652 0.030 0.416
0.652 0.622 0.916
0.691 0.000 0.750
0.691 0.691 0.250
0.970 0.348 0.916
0.970 0.622 0.416
```


No. 10
Starting from a DFT-relaxed cell (GGA-PBE, Alexandria), the powder X-ray diffraction pattern of Ho3BiS2 was simulated for CuKα.

Principal peaks in the range 10° ≤ 2θ ≤ 90°, sorted by position:
| d (Å) | I (rel.) |
| --- | --- |
| 5.418 | 38.7 |
| 3.408 | 30.1 |
| 3.309 | 46.7 |
| 3.152 | 38.1 |
| 2.757 | 49.2 |
| 2.675 | 27.4 |
| 2.453 | 47.6 |
| 2.432 | 100.0 |
| 1.792 | 36.1 |
| 1.502 | 41.0 |

Structural model:
```
Ho3BiS2
1.0
-3.585 5.514 4.137
3.585 -5.514 4.137
3.585 5.514 -4.137
Ho Bi S
6 2 4
direct
0.000 0.230 0.230
0.000 0.770 0.770
0.500 0.000 0.000
0.500 0.230 0.730
0.500 0.500 0.500
0.500 0.770 0.270
0.152 0.902 0.250
0.848 0.098 0.750
0.276 0.713 0.563
0.350 0.287 0.063
0.650 0.713 0.937
0.724 0.287 0.437
```


No. 11
Starting from a DFT-relaxed cell (GGA-PBE, Alexandria), the powder X-ray diffraction pattern of Ho6BiSb3Se2 was simulated for CuKα.

Principal peaks in the range 10° ≤ 2θ ≤ 90°, sorted by position:
| d (Å) | I (rel.) |
| --- | --- |
| 3.033 | 100.0 |
| 2.148 | 37.8 |
| 2.142 | 37.7 |
| 1.753 | 20.0 |
| 1.746 | 6.7 |
| 1.518 | 8.4 |
| 1.359 | 11.5 |
| 1.356 | 16.9 |
| 1.240 | 8.6 |
| 1.239 | 6.1 |

Structural model:
```
Ho6BiSb3Se2
1.0
9.325 -2.150 0.000
9.325 2.150 0.000
-1.939 0.000 8.351
Ho Bi Sb Se
6 1 3 2
direct
0.005 0.005 0.258
0.329 0.329 0.910
0.331 0.331 0.421
0.669 0.669 0.579
0.671 0.671 0.090
0.995 0.995 0.742
0.500 0.500 0.000
0.164 0.164 0.831
0.500 0.500 0.500
0.836 0.836 0.169
0.169 0.169 0.336
0.831 0.831 0.664
```


No. 12
Starting from a DFT-relaxed cell (GGA-PBE, Alexandria), the powder X-ray diffraction pattern of HoTmBiSb was simulated for CuKα.

Principal peaks in the range 10° ≤ 2θ ≤ 90°, sorted by position:
| d (Å) | I (rel.) |
| --- | --- |
| 6.218 | 2.3 |
| 4.398 | 2.7 |
| 3.110 | 100.0 |
| 2.539 | 1.5 |
| 2.199 | 77.2 |
| 1.795 | 27.8 |
| 1.555 | 13.1 |
| 1.391 | 36.1 |
| 1.270 | 26.9 |
| 1.099 | 9.0 |

Structural model:
```
HoTmBiSb
1.0
4.398 0.000 0.000
0.000 4.398 0.000
0.000 0.000 6.218
Ho Tm Bi Sb
1 1 1 1
direct
0.000 0.000 0.000
0.500 0.500 0.500
0.500 0.500 0.000
0.000 0.000 0.500
```